Computed X-ray powder pattern
Compound: La6Tm5
Radiation: Cu Kα, 1.54184 Å
Structure: a cell relaxed with GGA-PBE
Lines closer than 0.1° are merged.

Atomic structure:
a = 9.5125 Å, b = 9.5125 Å, c = 5.6538 Å
α = 107.27°, β = 107.27°, γ = 116.41°
Positions (direct):
La: 0.0697 0.3518 0.7105
La: 0.2093 0.2093 0.2095
La: 0.3518 0.0697 0.7105
La: 0.6482 0.9303 0.2895
La: 0.7907 0.7907 0.7905
La: 0.9303 0.6482 0.2895
Tm: 0.2005 0.7995 0.0000
Tm: 0.3382 0.6618 0.5000
Tm: 0.5000 0.5000 0.0000
Tm: 0.6618 0.3382 0.5000
Tm: 0.7995 0.2005 0.0000

Peak list (6 most intense, 10 to 90 degrees two-theta, most intense first)
- d = 2.839 Å, I = 100
- d = 2.827 Å, I = 33
- d = 3.056 Å, I = 26
- d = 1.635 Å, I = 20
- d = 2.695 Å, I = 15
- d = 2.807 Å, I = 12



Computed X-ray powder pattern
Compound: La2Tm
Radiation: Cu Kα, 1.54184 Å
Structure: a cell relaxed with GGA-PBE
Lines closer than 0.1° are merged.

Atomic structure:
a = 3.6991 Å, b = 3.6991 Å, c = 15.2406 Å
α = 90.00°, β = 90.00°, γ = 90.00°
Positions (direct):
La: 0.0000 0.0000 0.1638
La: 0.0000 0.0000 0.8362
La: 0.5000 0.5000 0.3362
La: 0.5000 0.5000 0.6638
Tm: 0.0000 0.0000 0.5000
Tm: 0.5000 0.5000 0.0000

Peak list (6 most intense, 10 to 90 degrees two-theta, most intense first)
- d = 2.990 Å, I = 100
- d = 2.616 Å, I = 35
- d = 1.573 Å, I = 30
- d = 1.822 Å, I = 24
- d = 2.540 Å, I = 16
- d = 1.540 Å, I = 14



Computed X-ray powder pattern
Compound: La2Tm13
Radiation: Cu Kα, 1.54184 Å
Structure: a cell relaxed with GGA-PBE
Lines closer than 0.1° are merged.

Atomic structure:
a = 8.8411 Å, b = 8.8411 Å, c = 8.8411 Å
α = 59.21°, β = 59.21°, γ = 59.21°
Positions (direct):
La: 0.1569 0.1569 0.1569
La: 0.8431 0.8431 0.8431
Tm: 0.0000 0.0000 0.0000
Tm: 0.1599 0.1599 0.5380
Tm: 0.1599 0.5380 0.1599
Tm: 0.3090 0.6900 0.6900
Tm: 0.3100 0.3100 0.6910
Tm: 0.3100 0.6910 0.3100
Tm: 0.4620 0.8401 0.8401
Tm: 0.5380 0.1599 0.1599
Tm: 0.6900 0.3090 0.6900
Tm: 0.6900 0.6900 0.3090
Tm: 0.6910 0.3100 0.3100
Tm: 0.8401 0.4620 0.8401
Tm: 0.8401 0.8401 0.4620

Peak list (6 most intense, 10 to 90 degrees two-theta, most intense first)
- d = 2.835 Å, I = 100
- d = 2.071 Å, I = 58
- d = 2.878 Å, I = 52
- d = 2.856 Å, I = 50
- d = 1.516 Å, I = 33
- d = 2.766 Å, I = 24



Computed X-ray powder pattern
Compound: LaTm5
Radiation: Cu Kα, 1.54184 Å
Structure: a cell relaxed with GGA-PBE
Lines closer than 0.1° are merged.

Atomic structure:
a = 4.9951 Å, b = 15.0151 Å, c = 5.0092 Å
α = 90.00°, β = 90.00°, γ = 90.00°
Positions (direct):
La: 0.0000 0.0000 0.0000
La: 0.5000 0.5000 0.0000
Tm: 0.0000 0.1684 0.5000
Tm: 0.0000 0.3302 0.0000
Tm: 0.0000 0.5000 0.5000
Tm: 0.0000 0.6698 0.0000
Tm: 0.0000 0.8316 0.5000
Tm: 0.5000 0.0000 0.5000
Tm: 0.5000 0.1698 0.0000
Tm: 0.5000 0.3316 0.5000
Tm: 0.5000 0.6684 0.5000
Tm: 0.5000 0.8302 0.0000

Peak list (6 most intense, 10 to 90 degrees two-theta, most intense first)
- d = 2.889 Å, I = 100
- d = 1.769 Å, I = 36
- d = 2.504 Å, I = 34
- d = 1.509 Å, I = 28
- d = 2.498 Å, I = 17
- d = 1.507 Å, I = 14



Computed X-ray powder pattern
Compound: La2TmV
Radiation: Cu Kα, 1.54184 Å
Structure: a cell relaxed with GGA-PBE
Lines closer than 0.1° are merged.

Atomic structure:
a = 3.4214 Å, b = 3.4214 Å, c = 35.0001 Å
α = 90.00°, β = 90.00°, γ = 120.00°
Positions (direct):
La: 0.0000 0.0000 0.0785
La: 0.0000 0.0000 0.9215
La: 0.3333 0.6667 0.5882
La: 0.3333 0.6667 0.7452
La: 0.6667 0.3333 0.2548
La: 0.6667 0.3333 0.4118
Tm: 0.0000 0.0000 0.5000
Tm: 0.3333 0.6667 0.1667
Tm: 0.6667 0.3333 0.8333
V: 0.0000 0.0000 0.0000
V: 0.3333 0.6667 0.6667
V: 0.6667 0.3333 0.3333

Peak list (6 most intense, 10 to 90 degrees two-theta, most intense first)
- d = 2.920 Å, I = 100
- d = 2.549 Å, I = 47
- d = 2.729 Å, I = 43
- d = 1.476 Å, I = 35
- d = 1.911 Å, I = 27
- d = 1.711 Å, I = 23



Computed X-ray powder pattern
Compound: La3YTm4
Radiation: Cu Kα, 1.54184 Å
Structure: a cell relaxed with GGA-PBE
Lines closer than 0.1° are merged.

Atomic structure:
a = 3.4898 Å, b = 11.7586 Å, c = 13.0816 Å
α = 90.00°, β = 90.00°, γ = 90.00°
Positions (direct):
La: 0.0000 0.0000 0.0000
La: 0.0000 0.5000 0.2464
La: 0.0000 0.5000 0.7536
La: 0.5000 0.0000 0.2536
La: 0.5000 0.0000 0.7464
La: 0.5000 0.5000 0.5000
Y: 0.0000 0.0000 0.5000
Y: 0.5000 0.5000 0.0000
Tm: 0.0000 0.2444 0.3650
Tm: 0.0000 0.2444 0.6350
Tm: 0.0000 0.7556 0.3650
Tm: 0.0000 0.7556 0.6350
Tm: 0.5000 0.2556 0.1350
Tm: 0.5000 0.2556 0.8650
Tm: 0.5000 0.7444 0.1350
Tm: 0.5000 0.7444 0.8650

Peak list (6 most intense, 10 to 90 degrees two-theta, most intense first)
- d = 2.858 Å, I = 100
- d = 2.940 Å, I = 56
- d = 2.979 Å, I = 42
- d = 2.925 Å, I = 39
- d = 2.472 Å, I = 28
- d = 1.489 Å, I = 28